For Mg3In12Hg, a DFT-relaxed cell (GGA-PBE, Alexandria) gives the theoretical powder X-ray diffraction pattern in this record (Cu Kα, 1.54184 Å).
Kinematic intensities with the Lorentz-polarization factor, no thermal factor.

Atomic structure:
```
Mg3In12Hg
1.0
4.713 0.000 0.000
0.000 4.713 0.000
0.000 0.000 18.316
Mg In Hg
3 12 1
Cartesian
0.000 0.000 0.000
0.000 0.000 4.509
0.000 0.000 13.808
0.000 2.356 2.252
0.000 2.356 6.763
0.000 2.356 11.553
0.000 2.356 16.065
2.356 0.000 2.252
2.356 0.000 6.763
2.356 0.000 11.553
2.356 0.000 16.065
2.356 2.356 0.000
2.356 2.356 4.479
2.356 2.356 9.158
2.356 2.356 13.837
0.000 0.000 9.158
```

Peak list (10 most intense, 2θ from 10° to 90°, low angle first)
(0 0 4), 19.4°, intensity 5; (1 0 4), 27.2°, intensity 4; (1 1 4), 33.3°, intensity 100; (2 0 0), 38.2°, intensity 34; (0 0 8), 39.4°, intensity 16; (2 2 0), 55.1°, intensity 12; (2 0 8), 56.0°, intensity 21; (3 1 4), 65.9°, intensity 26; (1 1 12), 67.5°, intensity 11; (2 2 8), 69.8°, intensity 11